[1]
Structure and theoretical powder XRD pattern of GaPb (a structure optimized by DFT (GGA-PBE); Cu Kα (weighted mean of Kα1 and Kα2)).

Peak list (10 most intense, 2θ from 15° to 90°, by intensity)
32.0°, intensity 100; 44.1°, intensity 83; 29.6°, intensity 61; 22.4°, intensity 52; 34.1°, intensity 42; 45.8°, intensity 37; 30.8°, intensity 24; 68.1°, intensity 23; 71.0°, intensity 21; 74.7°, intensity 18

Cell and atoms:
Lattice parameters (Å, degrees): 3.3094 5.2568 6.0319 90.00 90.00 90.00
Space group Immm (No. 71)
Inequivalent atoms, fractional coordinates:
Ga: 0.0000 0.0000 0.0000 [2 per cell]
Pb: 0.0000 0.0000 0.5000 [2 per cell]

---

[2]
Structure and theoretical powder XRD pattern of Ga2Pd7Pb (a structure optimized by DFT (GGA-PBE); Cu Kα (weighted mean of Kα1 and Kα2)).

Peak list (10 most intense, 2θ from 15° to 90°, by intensity)
44.0°, intensity 100; 42.6°, intensity 91; 38.3°, intensity 90; 40.5°, intensity 69; 35.7°, intensity 68; 24.5°, intensity 64; 57.0°, intensity 64; 31.5°, intensity 50; 24.1°, intensity 29; 78.8°, intensity 28

Cell and atoms:
Lattice parameters (Å, degrees): 7.3770 12.2071 4.4545 90.00 90.00 90.00
Space group Cmmm (No. 65)
Inequivalent atoms, fractional coordinates:
Ga: 0.0000 0.1986 0.0000 [4 per cell]
Pd: 0.0000 0.0000 0.0000 [2 per cell]
Pd: 0.0000 0.2773 0.5000 [4 per cell]
Pd: 0.1884 0.3795 0.0000 [8 per cell]
Pb: 0.0000 0.5000 0.5000 [2 per cell]

---

[3]
Structure and theoretical powder XRD pattern of GaRePd2Pb (a structure optimized by DFT (GGA-PBE); Cu Kα (weighted mean of Kα1 and Kα2)).

Peak list (10 most intense, 2θ from 15° to 90°, by intensity)
25.8°, intensity 100; 36.7°, intensity 95; 53.1°, intensity 66; 31.7°, intensity 59; 37.0°, intensity 46; 45.4°, intensity 46; 66.3°, intensity 34; 52.8°, intensity 33; 25.7°, intensity 30; 59.7°, intensity 17

Cell and atoms:
Lattice parameters (Å, degrees): 4.9020 4.9020 4.8550 90.00 90.00 90.00
Space group P4/mmm (No. 123)
Inequivalent atoms, fractional coordinates:
Ga: 0.0000 0.0000 0.0000 [1 per cell]
Re: 0.0000 0.0000 0.5000 [1 per cell]
Pd: 0.0000 0.5000 0.5000 [2 per cell]
Pb: 0.5000 0.5000 0.0000 [1 per cell]

---

[4]
Structure and theoretical powder XRD pattern of Pm7GaPb2 (a structure optimized by DFT (GGA-PBE); Cu Kα (weighted mean of Kα1 and Kα2)).

Peak list (10 most intense, 2θ from 15° to 90°, by intensity)
33.3°, intensity 100; 33.8°, intensity 91; 59.8°, intensity 35; 48.2°, intensity 34; 59.6°, intensity 19; 23.6°, intensity 16; 80.0°, intensity 16; 28.2°, intensity 14; 20.3°, intensity 13; 70.0°, intensity 12

Cell and atoms:
Lattice parameters (Å, degrees): 5.3767 5.3767 12.9190 90.00 90.00 120.00
Space group P3m1 (No. 156)
Inequivalent atoms, fractional coordinates:
Pm: 0.0000 0.0000 0.0000 [1 per cell]
Pm: 0.0000 0.0000 0.2492 [1 per cell]
Pm: 0.0000 0.0000 0.7370 [1 per cell]
Pm: 0.3333 0.6667 0.3928 [1 per cell]
Pm: 0.3333 0.6667 0.8942 [1 per cell]
Pm: 0.6667 0.3333 0.1336 [1 per cell]
Pm: 0.6667 0.3333 0.5742 [1 per cell]
Ga: 0.3333 0.6667 0.1427 [1 per cell]
Pb: 0.0000 0.0000 0.4939 [1 per cell]
Pb: 0.6667 0.3333 0.8425 [1 per cell]

---

[5]
Structure and theoretical powder XRD pattern of PmGaPb (a structure optimized by DFT (GGA-PBE); Cu Kα (weighted mean of Kα1 and Kα2)).

Peak list (10 most intense, 2θ from 15° to 90°, by intensity)
30.1°, intensity 100; 39.7°, intensity 48; 50.6°, intensity 24; 46.2°, intensity 24; 66.2°, intensity 22; 22.6°, intensity 13; 57.5°, intensity 11; 62.6°, intensity 11; 76.7°, intensity 10; 85.6°, intensity 9

Cell and atoms:
Lattice parameters (Å, degrees): 4.5394 4.5394 4.5307 90.00 90.00 120.00
Space group P3m1 (No. 156)
Inequivalent atoms, fractional coordinates:
Pm: 0.0000 0.0000 0.0000 [1 per cell]
Ga: 0.6667 0.3333 0.3233 [1 per cell]
Pb: 0.3333 0.6667 0.5667 [1 per cell]

---

[6]
Structure and theoretical powder XRD pattern of Pm6Ga2Pb (a structure optimized by DFT (GGA-PBE); Cu Kα (weighted mean of Kα1 and Kα2)).

Peak list (10 most intense, 2θ from 15° to 90°, by intensity)
30.2°, intensity 100; 32.9°, intensity 46; 33.6°, intensity 37; 36.3°, intensity 33; 31.7°, intensity 31; 56.7°, intensity 27; 28.5°, intensity 20; 32.5°, intensity 17; 53.3°, intensity 15; 64.4°, intensity 12

Cell and atoms:
Lattice parameters (Å, degrees): 9.8999 9.9230 11.0085 90.00 90.00 90.00
Space group Immm (No. 71)
Inequivalent atoms, fractional coordinates:
Pm: 0.0000 0.2041 0.2355 [8 per cell]
Pm: 0.2038 0.5000 0.1792 [8 per cell]
Pm: 0.2164 0.3125 0.5000 [8 per cell]
Ga: 0.0000 0.3598 0.0000 [4 per cell]
Ga: 0.0000 0.5000 0.3813 [4 per cell]
Pb: 0.0000 0.0000 0.0000 [2 per cell]
Pb: 0.0000 0.0000 0.5000 [2 per cell]

---

[7]
Structure and theoretical powder XRD pattern of Rb3Ga2Sn9Pb (a structure optimized by DFT (GGA-PBE); Cu Kα (weighted mean of Kα1 and Kα2)).

Peak list (10 most intense, 2θ from 15° to 90°, by intensity)
31.0°, intensity 100; 15.4°, intensity 62; 25.7°, intensity 57; 41.6°, intensity 31; 33.1°, intensity 31; 20.5°, intensity 24; 29.8°, intensity 23; 37.3°, intensity 21; 32.1°, intensity 20; 31.5°, intensity 18

Cell and atoms:
Lattice parameters (Å, degrees): 8.6757 8.6757 9.0031 90.00 90.00 120.00
Space group P-3m1 (No. 164)
Inequivalent atoms, fractional coordinates:
Rb: 0.0000 0.0000 0.0000 [1 per cell]
Rb: 0.3333 0.6667 0.6665 [2 per cell]
Ga: 0.3333 0.6667 0.0495 [2 per cell]
Sn: 0.0000 0.5000 0.0000 [3 per cell]
Sn: 0.2112 0.4225 0.3017 [6 per cell]
Pb: 0.0000 0.0000 0.5000 [1 per cell]

---

[8]
Structure and theoretical powder XRD pattern of GaRePb2Se (a structure optimized by DFT (GGA-PBE); Cu Kα (weighted mean of Kα1 and Kα2)).

Peak list (10 most intense, 2θ from 15° to 90°, by intensity)
29.5°, intensity 100; 32.3°, intensity 61; 50.4°, intensity 39; 55.9°, intensity 34; 37.6°, intensity 28; 46.4°, intensity 23; 61.2°, intensity 20; 16.0°, intensity 19; 89.0°, intensity 15; 63.0°, intensity 12

Cell and atoms:
Lattice parameters (Å, degrees): 5.5368 5.5368 4.7817 90.00 90.00 90.00
Space group P4/mmm (No. 123)
Inequivalent atoms, fractional coordinates:
Ga: 0.0000 0.0000 0.0000 [1 per cell]
Re: 0.0000 0.0000 0.5000 [1 per cell]
Pb: 0.0000 0.5000 0.0000 [2 per cell]
Se: 0.5000 0.5000 0.5000 [1 per cell]

---

[9]
Structure and theoretical powder XRD pattern of Ga2PbS4 (a structure optimized by DFT (GGA-PBE); Cu Kα (weighted mean of Kα1 and Kα2)).

Peak list (10 most intense, 2θ from 15° to 90°, by intensity)
23.8°, intensity 100; 38.1°, intensity 69; 16.8°, intensity 42; 29.7°, intensity 40; 24.1°, intensity 36; 34.0°, intensity 31; 45.8°, intensity 29; 38.8°, intensity 16; 48.4°, intensity 15; 49.7°, intensity 14

Cell and atoms:
Lattice parameters (Å, degrees): 12.2985 20.6574 21.0876 90.00 90.00 90.00
Space group Fddd (No. 70, origin choice 2)
Inequivalent atoms, fractional coordinates:
Ga: 0.0861 0.3037 0.2498 [32 per cell]
Ga: 0.1236 0.2630 0.7505 [32 per cell]
Pb: 0.1250 0.1250 0.1250 [8 per cell]
Pb: 0.1250 0.1250 0.3728 [16 per cell]
Pb: 0.1250 0.1250 0.6250 [8 per cell]
S: 0.0011 0.9998 0.5823 [32 per cell]
S: 0.0009 0.0000 0.9174 [32 per cell]
S: 0.0039 0.3451 0.4992 [32 per cell]
S: 0.0160 0.0783 0.7509 [32 per cell]

---

[10]
Structure and theoretical powder XRD pattern of Ga2Pb2S5 (a structure optimized by DFT (GGA-PBE); Cu Kα (weighted mean of Kα1 and Kα2)).

Peak list (10 most intense, 2θ from 15° to 90°, by intensity)
20.7°, intensity 100; 41.3°, intensity 59; 28.8°, intensity 57; 23.6°, intensity 52; 30.9°, intensity 51; 24.8°, intensity 46; 33.9°, intensity 42; 45.8°, intensity 42; 36.1°, intensity 41; 18.5°, intensity 37

Cell and atoms:
Lattice parameters (Å, degrees): 15.0689 3.9417 9.7748 90.00 119.28 90.00
Space group C2/m (No. 12)
Inequivalent atoms, fractional coordinates:
Ga: 0.2171 0.0000 0.1008 [4 per cell]
Pb: 0.0899 0.5000 0.4020 [4 per cell]
S: 0.0000 0.0000 0.5000 [2 per cell]
S: 0.1416 0.5000 0.9413 [4 per cell]
S: 0.2181 0.0000 0.3252 [4 per cell]